Ga6SnTe10: calculated powder diffractogram (Cu Ka), based on a structure optimized by DFT (GGA-PBE).
Kinematic intensities with the Lorentz-polarization factor, no thermal factor.

Most intense lines, 2θ = 15–90°, by angle:
h k l, 2θ (°), I/Imax
4 0 1, 25.35, 28
3 1 -2, 25.39, 50
3 1 2, 25.54, 62
0 4 1, 25.66, 94
3 3 1, 26.95, 36
4 2 -1, 28.14, 29
2 4 -1, 28.38, 100
4 2 -4, 43.95, 33
3 5 -3, 44.21, 39
2 6 -3, 46.96, 42

a = 14.933 Å, b = 14.702 Å, c = 10.434 Å
α = 90.00°, β = 90.34°, γ = 90.00°
Space group C2 (No. 5)
One atom of each set of equivalent atoms:
1 Ga 0.044 0.000 0.163 x4
2 Ga 0.045 0.484 0.669 x4
3 Ga 0.139 0.803 0.925 x4
4 Ga 0.207 0.418 0.381 x4
5 Ga 0.223 0.134 0.336 x4
6 Ga 0.246 0.373 0.754 x4
7 Sn 0.133 0.658 0.254 x4
8 Te 0.000 0.610 0.500 x2
9 Te 0.000 0.701 0.000 x2
10 Te 0.065 0.168 0.237 x4
11 Te 0.091 0.878 0.336 x4
12 Te 0.096 0.448 0.185 x4
13 Te 0.121 0.333 0.571 x4
14 Te 0.126 0.983 0.930 x4
15 Te 0.171 0.784 0.670 x4
16 Te 0.179 0.535 0.828 x4
17 Te 0.207 0.075 0.579 x4
18 Te 0.223 0.246 0.932 x4